Record 1
The following is a computed XRD peak list of Sm8Cd2Os. It was derived from a structure optimized by DFT (PBE), using Cu Kα X-rays.
Peak positions follow from Bragg's law for the DFT cell and can differ from measured ones.

Main lines, in order of falling intensity (10° ≤ 2θ ≤ 80°):
2θ (°)  Rel. int.
33.41  100.0
33.00  100.0
30.27  83.3
34.95  61.1
31.23  61.1
29.06  32.0
46.56  27.1
30.89  24.5
38.91  22.6
59.20  20.6

Cell and atoms:
```
Sm8Cd2Os
1.0
8.953 -2.714 0.000
8.953 2.714 0.000
-2.389 0.000 6.682
Sm Cd Os
8 2 1
direct
0.019 0.019 0.289 Sm
0.198 0.198 0.783 Sm
0.348 0.348 0.551 Sm
0.407 0.407 0.082 Sm
0.593 0.593 0.918 Sm
0.652 0.652 0.449 Sm
0.802 0.802 0.217 Sm
0.981 0.981 0.711 Sm
0.182 0.182 0.203 Cd
0.818 0.818 0.797 Cd
0.500 0.500 0.500 Os
```

Record 2
The following is a computed XRD peak list of Sm6CdOs. It was derived from a structure optimized by DFT (PBE), using Cu Kα X-rays.
Peak positions follow from Bragg's law for the DFT cell and can differ from measured ones.

Main lines, in order of falling intensity (10° ≤ 2θ ≤ 80°):
2θ (°)  Rel. int.
32.53  100.0
30.88  50.2
47.63  33.1
28.29  30.2
44.87  29.0
23.39  28.5
43.22  26.9
28.60  19.4
17.21  19.2
14.76  16.9

Cell and atoms:
```
Sm6CdOs
1.0
7.563 0.000 0.000
0.000 11.283 0.000
-2.319 0.000 6.242
Sm Cd Os
12 2 2
direct
0.194 0.188 0.246 Sm
0.194 0.812 0.246 Sm
0.234 0.000 0.773 Sm
0.266 0.500 0.227 Sm
0.306 0.312 0.754 Sm
0.306 0.688 0.754 Sm
0.694 0.312 0.246 Sm
0.694 0.688 0.246 Sm
0.734 0.500 0.773 Sm
0.766 0.000 0.227 Sm
0.806 0.188 0.754 Sm
0.806 0.812 0.754 Sm
0.000 0.500 0.500 Cd
0.500 0.000 0.500 Cd
0.000 0.000 0.000 Os
0.500 0.500 0.000 Os
```

Record 3
The following is a computed XRD peak list of Th4Cd5Os2. It was derived from a structure optimized by DFT (PBE), using Cu Kα X-rays.
Peak positions follow from Bragg's law for the DFT cell and can differ from measured ones.

Main lines, in order of falling intensity (10° ≤ 2θ ≤ 80°):
2θ (°)  Rel. int.
37.03  100.0
32.58  96.4
31.60  80.0
36.41  73.5
33.00  72.6
11.27  68.2
34.27  46.3
48.43  43.4
34.38  35.9
13.92  31.3

Cell and atoms:
```
Th4Cd5Os2
1.0
7.871 0.000 0.000
0.000 3.759 0.000
-0.722 0.000 9.812
Th Cd Os
4 5 2
direct
0.167 0.000 0.348 Th
0.216 0.000 0.948 Th
0.784 0.000 0.052 Th
0.833 0.000 0.652 Th
0.189 0.500 0.649 Cd
0.460 0.500 0.181 Cd
0.500 0.500 0.500 Cd
0.540 0.500 0.819 Cd
0.811 0.500 0.351 Cd
0.078 0.500 0.143 Os
0.922 0.500 0.857 Os
```

Record 4
The following is a computed XRD peak list of Th3Cd3Os. It was derived from a structure optimized by DFT (PBE), using Cu Kα X-rays.
Peak positions follow from Bragg's law for the DFT cell and can differ from measured ones.

Main lines, in order of falling intensity (10° ≤ 2θ ≤ 80°):
2θ (°)  Rel. int.
34.88  100.0
31.96  97.8
30.09  51.4
53.44  49.4
48.03  24.1
41.16  23.2
44.47  22.2
63.64  17.8
20.24  17.0
66.47  16.7

Cell and atoms:
```
Th3Cd3Os
1.0
0.000 7.275 7.275
7.275 0.000 7.275
7.275 7.275 0.000
Th Cd Os
12 12 4
direct
0.079 0.079 0.671 Th
0.079 0.671 0.079 Th
0.079 0.671 0.671 Th
0.329 0.329 0.921 Th
0.329 0.921 0.329 Th
0.329 0.921 0.921 Th
0.671 0.079 0.079 Th
0.671 0.079 0.671 Th
0.671 0.671 0.079 Th
0.921 0.329 0.329 Th
0.921 0.329 0.921 Th
0.921 0.921 0.329 Th
0.000 0.500 0.500 Cd
0.295 0.295 0.295 Cd
0.295 0.295 0.616 Cd
0.295 0.616 0.295 Cd
0.384 0.705 0.705 Cd
0.500 0.000 0.500 Cd
0.500 0.500 0.000 Cd
0.500 0.500 0.500 Cd
0.616 0.295 0.295 Cd
0.705 0.384 0.705 Cd
0.705 0.705 0.384 Cd
0.705 0.705 0.705 Cd
0.000 0.000 0.000 Os
0.000 0.000 0.500 Os
0.000 0.500 0.000 Os
0.500 0.000 0.000 Os
```

Record 5
The following is a computed XRD peak list of TlCdOs4. It was derived from a structure optimized by DFT (PBE), using Cu Kα X-rays.
Peak positions follow from Bragg's law for the DFT cell and can differ from measured ones.

Main lines, in order of falling intensity (10° ≤ 2θ ≤ 80°):
2θ (°)  Rel. int.
39.90  100.0
41.75  46.3
64.63  32.6
71.17  28.9
33.83  21.7
20.53  12.9
60.53  8.1
48.60  7.5
53.28  3.4
74.98  2.5

Cell and atoms:
```
TlCdOs4
1.0
0.000 3.747 3.747
3.747 0.000 3.747
3.747 3.747 0.000
Tl Cd Os
1 1 4
direct
0.000 0.000 0.000 Tl
0.750 0.750 0.750 Cd
0.375 0.375 0.375 Os
0.375 0.375 0.874 Os
0.375 0.874 0.375 Os
0.874 0.375 0.375 Os
```

Record 6
The following is a computed XRD peak list of Tm6Cd2Os. It was derived from a structure optimized by DFT (PBE), using Cu Kα X-rays.
Peak positions follow from Bragg's law for the DFT cell and can differ from measured ones.

Main lines, in order of falling intensity (10° ≤ 2θ ≤ 80°):
2θ (°)  Rel. int.
31.19  100.0
33.64  73.3
60.67  57.6
32.87  52.3
40.18  47.9
37.42  47.6
12.28  23.7
45.88  22.6
57.58  21.3
77.55  12.3

Cell and atoms:
```
Tm6Cd2Os
1.0
8.325 0.000 0.000
-4.162 7.209 0.000
0.000 0.000 3.956
Tm Cd Os
6 2 1
direct
0.000 0.386 0.000 Tm
0.000 0.757 0.500 Tm
0.243 0.243 0.500 Tm
0.386 0.000 0.000 Tm
0.614 0.614 0.000 Tm
0.757 0.000 0.500 Tm
0.333 0.667 0.500 Cd
0.667 0.333 0.500 Cd
0.000 0.000 0.000 Os
```

Record 7
The following is a computed XRD peak list of Tm3Cd2Os. It was derived from a structure optimized by DFT (PBE), using Cu Kα X-rays.
Peak positions follow from Bragg's law for the DFT cell and can differ from measured ones.

Main lines, in order of falling intensity (10° ≤ 2θ ≤ 80°):
2θ (°)  Rel. int.
35.00  100.0
36.30  24.6
36.46  23.4
64.47  16.8
52.40  16.5
64.68  15.5
11.72  10.9
73.94  8.8
48.20  8.1
61.81  7.7

Cell and atoms:
```
Tm3Cd2Os
1.0
2.475 -7.392 0.000
2.475 7.392 0.000
0.000 0.000 7.551
Tm Cd Os
6 4 2
direct
0.000 0.000 0.228 Tm
0.000 0.000 0.772 Tm
0.326 0.674 0.218 Tm
0.326 0.674 0.782 Tm
0.674 0.326 0.218 Tm
0.674 0.326 0.782 Tm
0.166 0.834 0.500 Cd
0.500 0.500 0.000 Cd
0.500 0.500 0.500 Cd
0.834 0.166 0.500 Cd
0.162 0.838 0.000 Os
0.838 0.162 0.000 Os
```

Record 8
The following is a computed XRD peak list of Tm5Cd2Os2. It was derived from a structure optimized by DFT (PBE), using Cu Kα X-rays.
Peak positions follow from Bragg's law for the DFT cell and can differ from measured ones.

Main lines, in order of falling intensity (10° ≤ 2θ ≤ 80°):
2θ (°)  Rel. int.
38.65  100.0
10.86  93.8
35.00  90.1
32.81  68.0
32.55  67.5
31.53  66.9
44.51  48.2
34.24  42.7
39.07  42.1
60.13  25.4

Cell and atoms:
```
Tm5Cd2Os2
1.0
8.147 -3.678 0.000
8.147 3.678 0.000
0.000 0.000 7.461
Tm Cd Os
10 4 4
direct
0.000 0.000 0.000 Tm
0.061 0.701 0.681 Tm
0.201 0.561 0.181 Tm
0.299 0.939 0.681 Tm
0.439 0.799 0.181 Tm
0.500 0.500 0.500 Tm
0.561 0.201 0.819 Tm
0.701 0.061 0.319 Tm
0.799 0.439 0.819 Tm
0.939 0.299 0.319 Tm
0.223 0.223 0.000 Cd
0.277 0.277 0.500 Cd
0.723 0.723 0.500 Cd
0.777 0.777 0.000 Cd
0.118 0.882 0.379 Os
0.382 0.618 0.879 Os
0.618 0.382 0.121 Os
0.882 0.118 0.621 Os
```

Record 9
The following is a computed XRD peak list of Tm4Cd3Os. It was derived from a structure optimized by DFT (PBE), using Cu Kα X-rays.
Peak positions follow from Bragg's law for the DFT cell and can differ from measured ones.

Main lines, in order of falling intensity (10° ≤ 2θ ≤ 80°):
2θ (°)  Rel. int.
34.40  100.0
36.91  46.9
64.89  31.4
53.19  16.3
59.94  13.5
45.47  7.8
72.51  7.7
11.09  5.6
38.45  5.3
78.56  5.2

Cell and atoms:
```
Tm4Cd3Os
1.0
3.444 0.000 0.000
0.000 3.444 0.000
0.000 0.000 15.958
Tm Cd Os
4 3 1
direct
0.000 0.000 0.101 Tm
0.000 0.000 0.368 Tm
0.000 0.000 0.632 Tm
0.000 0.000 0.899 Tm
0.500 0.500 0.239 Cd
0.500 0.500 0.500 Cd
0.500 0.500 0.761 Cd
0.500 0.500 0.000 Os
```

Record 10
The following is a computed XRD peak list of Cd3P. It was derived from a structure optimized by DFT (PBE), using Cu Kα X-rays.
Peak positions follow from Bragg's law for the DFT cell and can differ from measured ones.

Main lines, in order of falling intensity (10° ≤ 2θ ≤ 80°):
2θ (°)  Rel. int.
35.11  100.0
30.33  49.0
34.53  47.9
28.79  39.8
37.75  38.6
42.36  30.5
32.71  29.9
43.28  29.6
30.86  28.0
32.20  22.1

Cell and atoms:
```
Cd3P
1.0
6.629 0.000 0.000
0.000 8.365 0.000
0.000 0.000 6.443
Cd P
12 4
direct
0.034 0.250 0.074 Cd
0.181 0.557 0.318 Cd
0.181 0.943 0.318 Cd
0.319 0.057 0.818 Cd
0.319 0.443 0.818 Cd
0.466 0.750 0.574 Cd
0.534 0.250 0.426 Cd
0.681 0.557 0.182 Cd
0.681 0.943 0.182 Cd
0.819 0.057 0.682 Cd
0.819 0.443 0.682 Cd
0.966 0.750 0.926 Cd
0.130 0.250 0.486 P
0.370 0.750 0.986 P
0.630 0.250 0.014 P
0.870 0.750 0.514 P
```

Record 11
The following is a computed XRD peak list of CdP. It was derived from a structure optimized by DFT (PBE), using Cu Kα X-rays.
Peak positions follow from Bragg's law for the DFT cell and can differ from measured ones.

Main lines, in order of falling intensity (10° ≤ 2θ ≤ 80°):
2θ (°)  Rel. int.
29.73  100.0
25.90  53.9
40.50  30.8
30.59  28.7
45.11  26.3
40.26  24.7
39.40  23.4
22.22  22.5
52.40  21.0
34.78  18.2

Cell and atoms:
```
CdP
1.0
5.845 0.000 0.000
0.000 7.646 0.000
0.000 0.000 7.884
Cd P
8 8
direct
0.044 0.133 0.140 Cd
0.044 0.367 0.640 Cd
0.456 0.633 0.140 Cd
0.456 0.867 0.640 Cd
0.544 0.133 0.360 Cd
0.544 0.367 0.860 Cd
0.956 0.633 0.360 Cd
0.956 0.867 0.860 Cd
0.125 0.559 0.911 P
0.125 0.941 0.411 P
0.375 0.059 0.911 P
0.375 0.441 0.411 P
0.625 0.559 0.589 P
0.625 0.941 0.089 P
0.875 0.059 0.589 P
0.875 0.441 0.089 P
```

Record 12
The following is a computed XRD peak list of Cd2P. It was derived from a structure optimized by DFT (PBE), using Cu Kα X-rays.
Peak positions follow from Bragg's law for the DFT cell and can differ from measured ones.

Main lines, in order of falling intensity (10° ≤ 2θ ≤ 80°):
2θ (°)  Rel. int.
30.39  100.0
33.04  87.8
41.26  66.8
25.90  62.2
55.85  37.1
31.55  33.4
52.18  29.9
43.70  26.3
26.65  15.7
57.12  15.3

Cell and atoms:
```
Cd2P
1.0
5.671 0.000 0.000
0.000 6.174 0.000
0.000 0.000 4.143
Cd P
4 2
direct
0.222 0.117 0.000 Cd
0.278 0.617 0.500 Cd
0.722 0.383 0.500 Cd
0.778 0.883 0.000 Cd
0.000 0.500 0.000 P
0.500 0.000 0.500 P
```